Record 1
# La5Pr3
Calculated X-ray diffraction stick pattern, Cu Ka. Input: a crystal structure in Alexandria, relaxed with PBE.
No peak broadening, texture or thermal motion is included.

Largest 6 diffraction maxima, in order of rising 2θ, 2θ = 10–80°:
d = 3.038 Å, 29.4 deg, I = 100; d = 2.645 Å, 33.9 deg, I = 17; d = 2.624 Å, 34.2 deg, I = 34; d = 1.863 Å, 48.9 deg, I = 24; d = 1.593 Å, 57.9 deg, I = 15; d = 1.583 Å, 58.3 deg, I = 29

```
La5Pr3
1.0
10.580 0.000 0.000
0.000 5.247 5.247
0.000 -5.247 5.247
La Pr
10 6
Direct
0.000 0.000 0.000
0.000 0.000 0.500
0.000 0.500 0.000
0.249 0.750 0.750
0.250 0.250 0.750
0.250 0.750 0.250
0.500 0.501 0.501
0.750 0.250 0.750
0.750 0.750 0.250
0.751 0.750 0.750
0.000 0.499 0.499
0.252 0.250 0.250
0.500 0.500 0.999
0.500 0.999 0.500
0.500 0.999 0.999
0.748 0.250 0.250
```

***

Record 2
# La2Pr7
Calculated X-ray diffraction stick pattern, Cu Ka. Input: a crystal structure in Alexandria, relaxed with PBE.
No peak broadening, texture or thermal motion is included.

Largest 6 diffraction maxima, in order of rising 2θ, 2θ = 10–80°:
d = 3.042 Å, 29.4 deg, I = 100; d = 3.023 Å, 29.6 deg, I = 33; d = 2.630 Å, 34.1 deg, I = 67; d = 1.864 Å, 48.9 deg, I = 24; d = 1.855 Å, 49.1 deg, I = 24; d = 1.587 Å, 58.1 deg, I = 29

```
La2Pr7
1.0
6.458 0.000 0.000
-3.229 5.593 0.000
0.000 0.000 9.069
La Pr
2 7
Direct
0.333 0.667 0.000
0.667 0.333 0.000
0.000 0.000 0.000
0.000 0.333 0.666
0.000 0.667 0.334
0.333 0.000 0.666
0.333 0.333 0.334
0.667 0.000 0.334
0.667 0.667 0.666
```

***

Record 3
# La5Pr7
Calculated X-ray diffraction stick pattern, Cu Ka. Input: a crystal structure in Alexandria, relaxed with PBE.
No peak broadening, texture or thermal motion is included.

Largest 6 diffraction maxima, in order of rising 2θ, 2θ = 10–80°:
d = 3.135 Å, 28.5 deg, I = 43; d = 3.008 Å, 29.7 deg, I = 34; d = 2.857 Å, 31.3 deg, I = 100; d = 2.523 Å, 35.6 deg, I = 24; d = 1.875 Å, 48.6 deg, I = 26; d = 1.591 Å, 58.0 deg, I = 31

```
La5Pr7
1.0
9.751 -1.873 0.000
9.751 1.873 0.000
-6.511 0.000 12.031
La Pr
5 7
Direct
0.000 0.000 0.000
0.167 0.167 0.499
0.307 0.307 0.251
0.693 0.693 0.749
0.833 0.833 0.501
0.027 0.027 0.751
0.333 0.333 0.001
0.360 0.360 0.750
0.500 0.500 0.500
0.640 0.640 0.250
0.667 0.667 0.999
0.973 0.973 0.249
```

***

Record 4
# La11Pr
Calculated X-ray diffraction stick pattern, Cu Ka. Input: a crystal structure in Alexandria, relaxed with PBE.
No peak broadening, texture or thermal motion is included.

Largest 6 diffraction maxima, in order of rising 2θ, 2θ = 10–80°:
d = 3.109 Å, 28.7 deg, I = 26; d = 2.974 Å, 30.0 deg, I = 52; d = 2.945 Å, 30.4 deg, I = 100; d = 1.706 Å, 53.7 deg, I = 20; d = 1.700 Å, 53.9 deg, I = 19; d = 1.555 Å, 59.5 deg, I = 29

```
La11Pr
1.0
11.779 0.000 0.000
-5.889 10.201 0.000
0.000 0.000 3.661
La Pr
11 1
Direct
0.000 0.500 0.000
0.171 0.342 0.500
0.171 0.829 0.500
0.333 0.667 0.000
0.342 0.171 0.500
0.500 0.000 0.000
0.500 0.500 0.000
0.658 0.829 0.500
0.667 0.333 0.000
0.829 0.171 0.500
0.829 0.658 0.500
0.000 0.000 0.000
```

***

Record 5
# La5Pr2
Calculated X-ray diffraction stick pattern, Cu Ka. Input: a crystal structure in Alexandria, relaxed with PBE.
No peak broadening, texture or thermal motion is included.

Largest 6 diffraction maxima, in order of rising 2θ, 2θ = 10–80°:
d = 2.961 Å, 30.2 deg, I = 100; d = 2.702 Å, 33.2 deg, I = 8; d = 2.094 Å, 43.2 deg, I = 16; d = 1.709 Å, 53.6 deg, I = 28; d = 1.471 Å, 63.2 deg, I = 7; d = 1.323 Å, 71.3 deg, I = 7

```
La5Pr2
1.0
2.958 1.708 8.480
-2.958 1.708 8.480
0.000 -3.416 8.480
La Pr
5 2
Direct
0.000 0.000 0.000
0.267 0.267 0.267
0.416 0.416 0.416
0.584 0.584 0.584
0.733 0.733 0.733
0.137 0.137 0.137
0.863 0.863 0.863
```

***

Record 6
# La2Pr7
Calculated X-ray diffraction stick pattern, Cu Ka. Input: a crystal structure in Alexandria, relaxed with PBE.
No peak broadening, texture or thermal motion is included.

Largest 6 diffraction maxima, in order of rising 2θ, 2θ = 10–80°:
d = 2.967 Å, 30.1 deg, I = 73; d = 2.945 Å, 30.4 deg, I = 100; d = 2.090 Å, 43.3 deg, I = 25; d = 1.704 Å, 53.8 deg, I = 25; d = 1.700 Å, 53.9 deg, I = 18; d = 1.550 Å, 59.6 deg, I = 29

```
La2Pr7
1.0
10.201 0.000 0.000
-5.100 8.834 0.000
0.000 0.000 3.647
La Pr
2 7
Direct
0.333 0.667 0.000
0.667 0.333 0.000
0.000 0.000 0.500
0.000 0.348 0.500
0.000 0.687 0.000
0.313 0.313 0.000
0.348 0.000 0.500
0.652 0.652 0.500
0.687 0.000 0.000
```

***

Record 7
# La3PrPt4
Calculated X-ray diffraction stick pattern, Cu Ka. Input: a crystal structure in Alexandria, relaxed with PBE.
No peak broadening, texture or thermal motion is included.

Largest 6 diffraction maxima, in order of rising 2θ, 2θ = 10–80°:
d = 3.003 Å, 29.8 deg, I = 100; d = 2.123 Å, 42.6 deg, I = 76; d = 1.734 Å, 52.8 deg, I = 27; d = 1.501 Å, 61.8 deg, I = 13; d = 1.343 Å, 70.1 deg, I = 35; d = 1.226 Å, 77.9 deg, I = 26

```
La3PrPt4
1.0
6.006 0.000 0.000
0.000 6.006 0.000
0.000 0.000 6.006
La Pr Pt
3 1 4
Direct
0.000 0.000 0.500
0.000 0.500 0.000
0.500 0.000 0.000
0.500 0.500 0.500
0.000 0.000 0.000
0.000 0.500 0.500
0.500 0.000 0.500
0.500 0.500 0.000
```

***

Record 8
# LaPrPt3
Calculated X-ray diffraction stick pattern, Cu Ka. Input: a crystal structure in Alexandria, relaxed with PBE.
No peak broadening, texture or thermal motion is included.

Largest 6 diffraction maxima, in order of rising 2θ, 2θ = 10–80°:
d = 2.673 Å, 33.5 deg, I = 48; d = 2.643 Å, 33.9 deg, I = 100; d = 2.537 Å, 35.4 deg, I = 51; d = 2.505 Å, 35.9 deg, I = 38; d = 2.128 Å, 42.5 deg, I = 29; d = 2.017 Å, 44.9 deg, I = 30

```
LaPrPt3
1.0
7.142 0.000 0.000
0.000 8.024 0.000
0.000 0.000 8.069
La Pr Pt
4 4 12
Direct
0.213 0.138 0.000
0.287 0.638 0.500
0.713 0.362 0.500
0.787 0.862 0.000
0.212 0.138 0.500
0.288 0.638 0.000
0.712 0.362 0.000
0.788 0.862 0.500
0.000 0.500 0.249
0.000 0.500 0.751
0.122 0.856 0.252
0.122 0.856 0.748
0.378 0.356 0.248
0.378 0.356 0.752
0.500 0.000 0.251
0.500 0.000 0.749
0.622 0.644 0.248
0.622 0.644 0.752
0.878 0.144 0.252
0.878 0.144 0.748
```

***

Q: What is the formula in the eighth record?
A: LaPrPt3

***

What did the eighth record say?
# LaPrPt3
Calculated X-ray diffraction stick pattern, Cu Ka. Input: a crystal structure in Alexandria, relaxed with PBE.
No peak broadening, texture or thermal motion is included.

Largest 6 diffraction maxima, in order of rising 2θ, 2θ = 10–80°:
d = 2.673 Å, 33.5 deg, I = 48; d = 2.643 Å, 33.9 deg, I = 100; d = 2.537 Å, 35.4 deg, I = 51; d = 2.505 Å, 35.9 deg, I = 38; d = 2.128 Å, 42.5 deg, I = 29; d = 2.017 Å, 44.9 deg, I = 30

```
LaPrPt3
1.0
7.142 0.000 0.000
0.000 8.024 0.000
0.000 0.000 8.069
La Pr Pt
4 4 12
Direct
0.213 0.138 0.000
0.287 0.638 0.500
0.713 0.362 0.500
0.787 0.862 0.000
0.212 0.138 0.500
0.288 0.638 0.000
0.712 0.362 0.000
0.788 0.862 0.500
0.000 0.500 0.249
0.000 0.500 0.751
0.122 0.856 0.252
0.122 0.856 0.748
0.378 0.356 0.248
0.378 0.356 0.752
0.500 0.000 0.251
0.500 0.000 0.749
0.622 0.644 0.248
0.622 0.644 0.752
0.878 0.144 0.252
0.878 0.144 0.748
```